Structure and theoretical powder diffraction line list of SrSmNbN3 (a GGA-PBE-relaxed structure; Cu Kα).

The 10 most intense peaks (2θ from 10° to 80°), most intense first:
- 33.52 deg, I 100
- 30.24 deg, I 90
- 31.97 deg, I 46
- 31.48 deg, I 46
- 40.40 deg, I 29
- 46.05 deg, I 23
- 53.16 deg, I 23
- 53.79 deg, I 23
- 57.15 deg, I 18
- 56.85 deg, I 17

Cell and atoms:
a b c (Å): 7.1896 7.1896 7.2773
angles (deg): 103.82 103.82 31.82
Sites, in units of the cell vectors:
Sr 0.1619 0.1619 0.0857
Sr 0.8381 0.8381 0.9143
Sm 0.1511 0.1511 0.5683
Sm 0.8489 0.8489 0.4317
Nb 0.5002 0.5002 0.2309
Nb 0.4998 0.4998 0.7691
N 0.0046 0.0046 0.2931
N 0.3389 0.3389 0.6525
N 0.3509 0.3509 0.1923
N 0.6491 0.6491 0.8077
N 0.6611 0.6611 0.3475
N 0.9954 0.9954 0.7069